NaLi5Fe2P2C2O14: theoretical XRD peak list (Cu Kα, 1.54184 Å), based on a GGA+U-relaxed structure.

```
NaLi5Fe2P2C2O14
1.0
6.5310 0.0000 0.0000
-0.0774 8.5801 0.0000
-0.0070 -0.7070 10.0904
Na Li Fe P C O
2 10 4 4 4 28
direct
0.0013 0.2576 0.1224
0.9987 0.7424 0.8776
0.0221 0.2735 0.6271
0.2580 0.0864 0.3773
0.2768 0.0909 0.8715
0.4783 0.2745 0.6279
0.4796 0.2776 0.1286
0.5204 0.7224 0.8714
0.5217 0.7255 0.3721
0.7232 0.9091 0.1285
0.7420 0.9136 0.6227
0.9779 0.7265 0.3729
0.2505 0.6591 0.1461
0.2580 0.6619 0.6402
0.7420 0.3381 0.3598
0.7495 0.3409 0.8539
0.2473 0.4105 0.3978
0.2603 0.4113 0.8906
0.7397 0.5887 0.1094
0.7527 0.5895 0.6022
0.2513 0.9646 0.6065
0.2639 0.9592 0.1064
0.7361 0.0408 0.8936
0.7487 0.0354 0.3935
0.0541 0.3121 0.3554
0.0628 0.3181 0.8458
0.2453 0.1107 0.5808
0.2484 0.5743 0.3426
0.2496 0.9227 0.7279
0.2519 0.9246 0.2288
0.2575 0.4291 0.5525
0.2590 0.8466 0.0125
0.2603 0.8575 0.5087
0.2718 0.4313 0.0448
0.2719 0.5732 0.8339
0.2805 0.1023 0.0736
0.4284 0.3066 0.3440
0.4363 0.3022 0.8364
0.5637 0.6978 0.1636
0.5716 0.6934 0.6560
0.7195 0.8977 0.9264
0.7281 0.4268 0.1661
0.7282 0.5687 0.9552
0.7397 0.1425 0.4913
0.7410 0.1534 0.9875
0.7425 0.5709 0.4475
0.7481 0.0754 0.7712
0.7504 0.0773 0.2721
0.7516 0.4257 0.6574
0.7547 0.8893 0.4192
0.9372 0.6819 0.1542
0.9459 0.6879 0.6446
```

The 10 most intense peaks (2θ = 5–70°), by angle:
d_spacing, 2θ/deg, I/Imax
8.559, 10.3, 100
4.486, 19.8, 35
4.219, 21.1, 41
3.993, 22.3, 20
3.382, 26.4, 37
3.265, 27.3, 95
2.852, 31.4, 26
2.523, 35.6, 29
2.467, 36.4, 25
1.633, 56.3, 18